(1)
Diffraction record for TbTmP2Rh5. The powder X-ray diffraction pattern is simulated, not measured: it uses a DFT-relaxed cell (GGA-PBE, Alexandria) and CuKα.
Kinematic intensities with the Lorentz-polarization factor, no thermal factor.

The 8 most intense peaks (2θ = 10–90°), by angle:
2θ 25.0, intensity 24
2θ 27.8, intensity 30
2θ 33.6, intensity 18
2θ 35.8, intensity 100
2θ 40.6, intensity 20
2θ 45.0, intensity 45
2θ 53.7, intensity 30
2θ 77.0, intensity 21

Structure:
```
TbTmP2Rh5
1.0
4.025 0.000 0.000
0.000 4.025 0.000
0.000 0.000 10.665
Tb Tm P Rh
1 1 2 5
Direct
0.000 0.000 0.000
0.000 0.000 0.500
0.500 0.500 0.212
0.500 0.500 0.788
0.000 0.500 0.307
0.000 0.500 0.693
0.500 0.000 0.307
0.500 0.000 0.693
0.500 0.500 0.000
```


(2)
Diffraction record for DyCu3Cl9. The powder X-ray diffraction pattern is simulated, not measured: it uses a DFT-relaxed cell (GGA-PBE, Alexandria) and CuKα.
Kinematic intensities with the Lorentz-polarization factor, no thermal factor.

The 8 most intense peaks (2θ = 10–90°), by angle:
2θ 13.6, intensity 23
2θ 17.4, intensity 100
2θ 19.1, intensity 21
2θ 19.5, intensity 22
2θ 23.5, intensity 20
2θ 25.5, intensity 14
2θ 26.6, intensity 24
2θ 28.1, intensity 24

Structure:
```
DyCu3Cl9
1.0
9.374 -3.744 0.000
9.374 3.744 0.000
-7.883 0.000 10.672
Dy Cu Cl
2 6 18
Direct
0.242 0.758 0.500
0.758 0.242 0.000
0.009 0.283 0.840
0.253 0.457 0.668
0.283 0.009 0.340
0.457 0.253 0.168
0.704 0.790 0.235
0.790 0.704 0.735
0.083 0.170 0.184
0.140 0.904 0.332
0.149 0.375 0.042
0.170 0.083 0.684
0.341 0.603 0.662
0.363 0.398 0.346
0.375 0.149 0.542
0.398 0.363 0.846
0.597 0.755 0.321
0.603 0.341 0.162
0.616 0.621 0.546
0.621 0.616 0.046
0.701 0.924 0.145
0.755 0.597 0.821
0.867 0.888 0.427
0.888 0.867 0.927
0.904 0.140 0.832
0.924 0.701 0.645
```


(3)
Diffraction record for GePd14Pt. The powder X-ray diffraction pattern is simulated, not measured: it uses a DFT-relaxed cell (GGA-PBE, Alexandria) and CuKα.
Kinematic intensities with the Lorentz-polarization factor, no thermal factor.

The 8 most intense peaks (2θ = 10–90°), by angle:
2θ 38.6, intensity 45
2θ 38.7, intensity 24
2θ 39.4, intensity 54
2θ 42.3, intensity 100
2θ 42.5, intensity 47
2θ 48.1, intensity 24
2θ 73.6, intensity 28
2θ 80.9, intensity 26

Structure:
```
GePd14Pt
1.0
9.137 0.000 0.000
0.000 2.792 4.811
0.000 -2.792 4.811
Ge Pd Pt
1 14 1
Direct
0.000 0.000 0.000
0.000 0.005 0.503
0.000 0.503 0.005
0.246 0.333 0.836
0.246 0.836 0.333
0.248 0.836 0.836
0.252 0.336 0.336
0.500 0.167 0.167
0.500 0.167 0.668
0.500 0.667 0.667
0.500 0.668 0.167
0.748 0.336 0.336
0.752 0.836 0.836
0.754 0.333 0.836
0.754 0.836 0.333
0.000 0.502 0.502
```


(4)
Diffraction record for Ag2W. The powder X-ray diffraction pattern is simulated, not measured: it uses a DFT-relaxed cell (GGA-PBE, Alexandria) and CuKα.
Kinematic intensities with the Lorentz-polarization factor, no thermal factor.

The 8 most intense peaks (2θ = 10–90°), by angle:
2θ 36.6, intensity 100
2θ 37.5, intensity 59
2θ 39.1, intensity 67
2θ 39.8, intensity 65
2θ 41.7, intensity 99
2θ 42.0, intensity 97
2θ 64.1, intensity 35
2θ 76.8, intensity 28

Structure:
```
Ag2W
1.0
5.590 -1.356 0.000
5.590 1.356 0.000
-1.891 0.000 6.799
Ag W
4 2
Direct
0.000 0.000 0.000
0.051 0.051 0.623
0.323 0.323 0.667
0.656 0.656 0.336
0.380 0.380 0.277
0.730 0.730 0.968
```


(5)
Diffraction record for CePr2Ho12. The powder X-ray diffraction pattern is simulated, not measured: it uses a DFT-relaxed cell (GGA-PBE, Alexandria) and CuKα.
Kinematic intensities with the Lorentz-polarization factor, no thermal factor.

The 8 most intense peaks (2θ = 10–90°), by angle:
2θ 29.3, intensity 29
2θ 29.8, intensity 58
2θ 30.9, intensity 100
2θ 31.6, intensity 100
2θ 33.0, intensity 81
2θ 33.4, intensity 57
2θ 37.2, intensity 68
2θ 62.4, intensity 29

Structure:
```
CePr2Ho12
1.0
3.495 0.000 0.000
0.000 5.667 0.000
0.000 0.000 24.782
Ce Pr Ho
1 2 12
Direct
0.000 0.000 0.000
0.000 0.000 0.268
0.000 0.000 0.732
0.000 0.500 0.076
0.000 0.500 0.438
0.000 0.500 0.562
0.000 0.500 0.924
0.500 0.000 0.125
0.500 0.000 0.415
0.500 0.000 0.585
0.500 0.000 0.875
0.500 0.500 0.198
0.500 0.500 0.327
0.500 0.500 0.673
0.500 0.500 0.802
```


(6)
Diffraction record for MgIn4Bi3. The powder X-ray diffraction pattern is simulated, not measured: it uses a DFT-relaxed cell (GGA-PBE, Alexandria) and CuKα.
Kinematic intensities with the Lorentz-polarization factor, no thermal factor.

The 8 most intense peaks (2θ = 10–90°), by angle:
2θ 27.3, intensity 23
2θ 31.7, intensity 100
2θ 31.8, intensity 41
2θ 32.3, intensity 38
2θ 33.3, intensity 49
2θ 40.2, intensity 32
2θ 40.7, intensity 20
2θ 41.1, intensity 16

Structure:
```
MgIn4Bi3
1.0
6.552 0.000 0.000
-2.941 6.323 0.000
-0.672 -0.648 11.273
Mg In Bi
2 8 6
Direct
0.000 0.000 0.000
0.226 0.037 0.487
0.057 0.557 0.992
0.169 0.481 0.495
0.417 0.274 0.232
0.495 0.010 0.997
0.581 0.265 0.753
0.646 0.774 0.734
0.732 0.028 0.491
0.810 0.764 0.256
0.054 0.241 0.774
0.173 0.798 0.714
0.306 0.783 0.276
0.565 0.554 0.986
0.661 0.485 0.502
0.921 0.255 0.211
```


(7)
Diffraction record for AuSe. The powder X-ray diffraction pattern is simulated, not measured: it uses a DFT-relaxed cell (GGA-PBE, Alexandria) and CuKα.
Kinematic intensities with the Lorentz-polarization factor, no thermal factor.

The 8 most intense peaks (2θ = 10–90°), by angle:
2θ 19.3, intensity 45
2θ 24.6, intensity 16
2θ 31.4, intensity 100
2θ 32.1, intensity 45
2θ 40.3, intensity 32
2θ 46.7, intensity 20
2θ 48.9, intensity 23
2θ 50.4, intensity 25

Structure:
```
AuSe
1.0
2.962 -3.612 0.000
2.962 3.612 0.000
-1.655 0.000 4.610
Au Se
2 2
Direct
0.000 0.500 0.000
0.500 0.000 0.000
0.217 0.217 0.641
0.783 0.783 0.359
```


(8)
Diffraction record for TlIn2Sn2. The powder X-ray diffraction pattern is simulated, not measured: it uses a DFT-relaxed cell (GGA-PBE, Alexandria) and CuKα.
Kinematic intensities with the Lorentz-polarization factor, no thermal factor.

The 8 most intense peaks (2θ = 10–90°), by angle:
2θ 28.1, intensity 17
2θ 28.5, intensity 19
2θ 31.5, intensity 94
2θ 31.9, intensity 25
2θ 33.5, intensity 100
2θ 40.5, intensity 17
2θ 61.0, intensity 29
2θ 61.3, intensity 26

Structure:
```
TlIn2Sn2
1.0
8.978 0.000 0.000
0.000 8.978 0.000
0.000 0.000 3.595
Tl In Sn
2 4 4
Direct
0.000 0.000 0.000
0.500 0.500 0.000
0.141 0.359 0.000
0.359 0.859 0.000
0.641 0.141 0.000
0.859 0.641 0.000
0.155 0.655 0.500
0.345 0.155 0.500
0.655 0.845 0.500
0.845 0.345 0.500
```


(9)
Diffraction record for BaNaHg2Au2. The powder X-ray diffraction pattern is simulated, not measured: it uses a DFT-relaxed cell (GGA-PBE, Alexandria) and CuKα.
Kinematic intensities with the Lorentz-polarization factor, no thermal factor.

The 8 most intense peaks (2θ = 10–90°), by angle:
2θ 20.5, intensity 25
2θ 23.8, intensity 28
2θ 23.9, intensity 27
2θ 31.7, intensity 79
2θ 35.9, intensity 100
2θ 43.6, intensity 41
2θ 48.7, intensity 24
2θ 51.9, intensity 33

Structure:
```
BaNaHg2Au2
1.0
4.999 0.000 0.000
-2.500 4.329 0.000
0.000 0.000 7.441
Ba Na Hg Au
1 1 2 2
Direct
0.000 0.000 0.000
0.000 0.000 0.500
0.333 0.667 0.308
0.667 0.333 0.692
0.333 0.667 0.723
0.667 0.333 0.277
```


(10)
Diffraction record for NbGa. The powder X-ray diffraction pattern is simulated, not measured: it uses a DFT-relaxed cell (GGA-PBE, Alexandria) and CuKα.
Kinematic intensities with the Lorentz-polarization factor, no thermal factor.

The 8 most intense peaks (2θ = 10–90°), by angle:
2θ 36.3, intensity 24
2θ 36.8, intensity 36
2θ 37.8, intensity 52
2θ 38.5, intensity 53
2θ 41.1, intensity 100
2θ 44.6, intensity 33
2θ 48.7, intensity 16
2θ 70.5, intensity 15

Structure:
```
NbGa
1.0
14.270 0.000 0.000
0.000 2.860 0.000
0.000 0.000 4.950
Nb Ga
6 6
Direct
0.000 0.094 0.000
0.176 0.934 0.728
0.324 0.066 0.228
0.500 0.906 0.500
0.676 0.066 0.228
0.824 0.934 0.728
0.000 0.564 0.520
0.155 0.517 0.222
0.345 0.483 0.722
0.500 0.436 0.020
0.655 0.483 0.722
0.845 0.517 0.222
```


(11)
Diffraction record for Ni5C2. The powder X-ray diffraction pattern is simulated, not measured: it uses a DFT-relaxed cell (GGA-PBE, Alexandria) and CuKα.
Kinematic intensities with the Lorentz-polarization factor, no thermal factor.

The 8 most intense peaks (2θ = 10–90°), by angle:
2θ 39.7, intensity 27
2θ 41.7, intensity 30
2θ 42.2, intensity 22
2θ 44.0, intensity 52
2θ 44.4, intensity 100
2θ 45.8, intensity 34
2θ 47.8, intensity 21
2θ 51.2, intensity 22

Structure:
```
Ni5C2
1.0
5.760 -2.271 0.000
5.760 2.271 0.000
-0.680 0.000 4.891
Ni C
10 4
Direct
0.064 0.936 0.750
0.137 0.286 0.315
0.286 0.137 0.815
0.322 0.484 0.089
0.484 0.322 0.589
0.516 0.678 0.411
0.678 0.516 0.911
0.714 0.863 0.185
0.863 0.714 0.685
0.936 0.064 0.250
0.089 0.677 0.418
0.323 0.911 0.082
0.677 0.089 0.918
0.911 0.323 0.582
```


(12)
Diffraction record for Li6CdBi. The powder X-ray diffraction pattern is simulated, not measured: it uses a DFT-relaxed cell (GGA-PBE, Alexandria) and CuKα.
Kinematic intensities with the Lorentz-polarization factor, no thermal factor.

The 8 most intense peaks (2θ = 10–90°), by angle:
2θ 16.4, intensity 55
2θ 17.5, intensity 22
2θ 24.8, intensity 100
2θ 25.5, intensity 48
2θ 28.1, intensity 24
2θ 29.9, intensity 42
2θ 38.3, intensity 44
2θ 50.9, intensity 32

Structure:
```
Li6CdBi
1.0
4.807 0.000 0.000
0.000 3.179 5.080
0.000 -3.179 5.080
Li Cd Bi
6 1 1
Direct
0.000 0.000 0.000
0.000 0.514 0.994
0.000 0.994 0.514
0.500 0.315 0.315
0.500 0.325 0.807
0.500 0.807 0.325
0.000 0.494 0.494
0.500 0.823 0.823
```